Theoretical powder diffraction line list
Compound: Na2Zn4InSn3
Radiation: Cu Kα (λ = 1.5418 Å)
Structure: the GGA-PBE geometry in Alexandria

Structure:
```
data_Na2Zn4InSn3
_chemical_formula_sum 'Na2 Zn4 In1 Sn3'
_space_group_name_H-M_alt 'P 1'
_space_group_IT_number 1
_cell_length_a 4.424
_cell_length_b 4.424
_cell_length_c 12.173
_cell_angle_alpha 90.00
_cell_angle_beta 90.00
_cell_angle_gamma 90.00
loop_
_space_group_symop_operation_xyz
'x,y,z'
loop_
_atom_site_label
_atom_site_type_symbol
_atom_site_fract_x
_atom_site_fract_y
_atom_site_fract_z
_atom_site_occupancy
Na1 Na 0.000 0.500 0.248 1
Na2 Na 0.500 0.000 0.752 1
Zn1 Zn 0.000 0.000 0.000 1
Zn2 Zn 0.000 0.500 0.647 1
Zn3 Zn 0.500 0.000 0.353 1
Zn4 Zn 0.500 0.500 0.000 1
In1 In 0.000 0.000 0.500 1
Sn1 Sn 0.000 0.500 0.863 1
Sn2 Sn 0.500 0.000 0.137 1
Sn3 Sn 0.500 0.500 0.500 1
```

Top 12 peaks for 2θ = 10–90°, low angle first:
two_theta  I (rel.)  index
14.55  42  0 0 2
21.37  66  1 0 1
29.88  25  1 0 3
32.17  100  1 1 2
40.80  68  2 0 0
41.39  92  1 1 4
42.38  31  1 0 5
46.51  18  2 1 1
59.06  22  2 2 0
60.28  22  2 1 5
68.87  21  3 1 2
74.68  32  3 1 4